Starting from a DFT-relaxed cell (PBE, Alexandria), the powder XRD pattern of NaCe4Al3O12 was computed for Cu Kα.
Peak positions follow from Bragg's law for the DFT cell and can differ from measured ones.

Principal peaks in the range 5° ≤ 2θ ≤ 70°, most intense first:
33.22°, rel. 100
23.32°, rel. 49
40.98°, rel. 43
59.35°, rel. 39
47.69°, rel. 36
53.74°, rel. 23
69.73°, rel. 21

Cell and atoms:
```
NaCe4Al3O12
1.0
-3.8143 3.8143 3.8143
3.8143 -3.8143 3.8143
3.8143 3.8143 -3.8143
Na Ce Al O
1 4 3 12
Direct
0.0000 0.0000 0.0000
0.0000 0.0000 0.5000
0.0000 0.5000 0.0000
0.5000 0.0000 0.0000
0.5000 0.5000 0.5000
0.0000 0.5000 0.5000
0.5000 0.0000 0.5000
0.5000 0.5000 0.0000
0.0000 0.2672 0.2672
0.0000 0.7328 0.7328
0.2500 0.5000 0.7500
0.2500 0.7500 0.5000
0.2672 0.0000 0.2672
0.2672 0.2672 0.0000
0.5000 0.2500 0.7500
0.5000 0.7500 0.2500
0.7328 0.0000 0.7328
0.7328 0.7328 0.0000
0.7500 0.2500 0.5000
0.7500 0.5000 0.2500
```

=====

Starting from a DFT-relaxed cell (PBE, Alexandria), the powder XRD pattern of Dy3Zn2Ge4 was computed for Cu Kα.
Peak positions follow from Bragg's law for the DFT cell and can differ from measured ones.

Principal peaks in the range 5° ≤ 2θ ≤ 70°, most intense first:
33.78°, rel. 100
34.62°, rel. 52
32.35°, rel. 44
40.59°, rel. 44
43.73°, rel. 38
24.27°, rel. 18
56.38°, rel. 18
31.61°, rel. 16
49.61°, rel. 16
62.28°, rel. 14

Cell and atoms:
```
Dy3Zn2Ge4
1.0
5.5931 -2.0702 0.0000
5.5931 2.0702 0.0000
-3.2133 0.0000 7.9582
Dy Zn Ge
3 2 4
Direct
0.0000 0.0000 0.0000
0.3769 0.3769 0.3071
0.6231 0.6231 0.6929
0.3165 0.3165 0.6568
0.6835 0.6835 0.3432
0.0835 0.0835 0.3997
0.2883 0.2883 0.9364
0.7117 0.7117 0.0636
0.9165 0.9165 0.6003
```

=====

What did the second record say?
Starting from a DFT-relaxed cell (PBE, Alexandria), the powder XRD pattern of Dy3Zn2Ge4 was computed for Cu Kα.
Peak positions follow from Bragg's law for the DFT cell and can differ from measured ones.

Principal peaks in the range 5° ≤ 2θ ≤ 70°, most intense first:
33.78°, rel. 100
34.62°, rel. 52
32.35°, rel. 44
40.59°, rel. 44
43.73°, rel. 38
24.27°, rel. 18
56.38°, rel. 18
31.61°, rel. 16
49.61°, rel. 16
62.28°, rel. 14

Cell and atoms:
```
Dy3Zn2Ge4
1.0
5.5931 -2.0702 0.0000
5.5931 2.0702 0.0000
-3.2133 0.0000 7.9582
Dy Zn Ge
3 2 4
Direct
0.0000 0.0000 0.0000
0.3769 0.3769 0.3071
0.6231 0.6231 0.6929
0.3165 0.3165 0.6568
0.6835 0.6835 0.3432
0.0835 0.0835 0.3997
0.2883 0.2883 0.9364
0.7117 0.7117 0.0636
0.9165 0.9165 0.6003
```